# Rb2SnIrBr6
Theoretical powder diffraction line list, Cu Kα X-rays. Input: a GGA-PBE-relaxed structure.

The 10 most intense peaks (2θ from 10° to 90°), in order of rising 2θ:
2θ/deg	I/Imax
13.94	15
16.11	55
22.86	55
28.10	26
32.56	100
36.53	27
40.16	24
46.71	70
58.09	24
77.68	19

abc: 7.773 7.773 11.020
angles: 90.00 90.00 90.00
Space group I4/mmm (No. 139)
Symmetry-distinct sites (fractional):
Rb 0.000 0.500 0.250
Sn 0.000 0.000 0.000
Ir 0.000 0.000 0.500
Br 0.000 0.000 0.266
Br 0.234 0.234 0.500

---

# Rb2TcIrBr6
Theoretical powder diffraction line list, Cu Kα X-rays. Input: a GGA-PBE-relaxed structure.

The 10 most intense peaks (2θ from 10° to 90°), in order of rising 2θ:
2θ/deg	I/Imax
16.70	74
23.70	73
29.13	47
33.66	51
33.81	100
41.67	33
48.46	71
48.57	35
60.39	36
81.08	31

abc: 7.498 7.498 10.650
angles: 90.00 90.00 90.00
Space group I4/mmm (No. 139)
Symmetry-distinct sites (fractional):
Rb 0.000 0.500 0.250
Tc 0.000 0.000 0.000
Ir 0.000 0.000 0.500
Br 0.000 0.000 0.255
Br 0.245 0.245 0.500

---

# Rb2TeIrBr6
Theoretical powder diffraction line list, Cu Kα X-rays. Input: a GGA-PBE-relaxed structure.

The 10 most intense peaks (2θ from 10° to 90°), in order of rising 2θ:
2θ/deg	I/Imax
15.91	58
16.27	27
22.58	29
22.83	56
27.96	37
32.14	100
32.88	48
46.09	34
46.65	68
57.77	34

abc: 7.877 7.877 10.895
angles: 90.00 90.00 90.00
Space group I4/mmm (No. 139)
Symmetry-distinct sites (fractional):
Rb 0.000 0.500 0.250
Te 0.000 0.000 0.000
Ir 0.000 0.000 0.500
Br 0.000 0.000 0.266
Br 0.229 0.229 0.500

---

# RbTlIrBr6
Theoretical powder diffraction line list, Cu Kα X-rays. Input: a GGA-PBE-relaxed structure.

The 10 most intense peaks (2θ from 10° to 90°), in order of rising 2θ:
2θ/deg	I/Imax
12.43	81
13.53	41
18.41	95
26.71	80
30.06	22
34.62	100
38.53	47
41.39	39
45.11	28
55.03	23

abc: 7.5565 7.5565 7.1211
angles: 90.00 90.00 120.00
Space group P312 (No. 149)
Symmetry-distinct sites (fractional):
Rb 0.0000 0.0000 0.0000
Tl 0.3333 0.6667 0.5000
Ir 0.6667 0.3333 0.5000
Br 0.3985 0.0625 0.7046

---

# IrSBr
Theoretical powder diffraction line list, Cu Kα X-rays. Input: a GGA-PBE-relaxed structure.

The 10 most intense peaks (2θ from 10° to 90°), in order of rising 2θ:
2θ/deg	I/Imax
13.59	100
27.32	8
28.82	13
30.71	20
31.81	22
32.07	21
39.21	13
39.86	12
40.30	11
49.19	14

abc: 3.519 6.535 7.458
angles: 64.48 76.97 90.00
Space group P-1 (No. 2)
Symmetry-distinct sites (fractional):
Ir 0.247 0.227 0.006
S 0.335 0.013 0.822
Br 0.143 0.459 0.225

---

# IrSeBr
Theoretical powder diffraction line list, Cu Kα X-rays. Input: a GGA-PBE-relaxed structure.

The 10 most intense peaks (2θ from 10° to 90°), in order of rising 2θ:
2θ/deg	I/Imax
20.30	80
24.28	83
24.53	100
31.46	36
32.86	41
33.83	46
42.34	75
43.43	61
43.74	38
48.44	41

abc: 6.603 5.596 7.017
angles: 90.00 91.02 90.00
Space group P2_1/c (No. 14)
Symmetry-distinct sites (fractional):
Ir 0.227 0.031 0.353
Se 0.046 0.237 0.092
Br 0.414 0.741 0.113